Structure and theoretical X-ray powder pattern of SrMgI3 (a cell relaxed with GGA-PBE; Cu Kα X-rays).

Main lines, by angle (10° ≤ 2θ ≤ 90°):
2θ (°)	I/Imax	(hkl)
26.63	100	1 1 1
30.85	64	2 0 0
44.19	47	2 2 0
52.34	45	3 1 1
54.86	16	2 2 2
64.27	8	4 0 0
70.85	18	3 3 1
72.99	21	4 2 0
81.31	16	4 2 2
87.42	15	5 1 1

Cell: 5.7970 5.7970 5.7970 Å, 90.00 90.00 90.00°
Space group Pm-3m (No. 221)
Inequivalent atoms, fractional coordinates:
Sr: 0.0000 0.0000 0.0000 x1
Mg: 0.5000 0.5000 0.5000 x1
I: 0.0000 0.5000 0.5000 x3